The following is a calculated powder XRD pattern of AcPmB2N4. It was derived from a DFT-relaxed cell (PBE, Alexandria), using Cu Kα.
No peak broadening, texture or thermal motion is included.

Structural model:
a = 5.6080 Å, b = 5.9147 Å, c = 6.7581 Å
α = 90.00°, β = 90.00°, γ = 90.00°
Element x y z (fractional)
Ac 0.0000 0.0000 0.0000
Ac 0.5000 0.5000 0.5000
Pm 0.0000 0.0000 0.5000
Pm 0.5000 0.5000 0.0000
B 0.0000 0.5000 0.2278
B 0.0000 0.5000 0.7722
B 0.5000 0.0000 0.2722
B 0.5000 0.0000 0.7278
N 0.1800 0.3487 0.7725
N 0.1800 0.6513 0.2275
N 0.3200 0.1513 0.2725
N 0.3200 0.8487 0.7275
N 0.6800 0.1513 0.7275
N 0.6800 0.8487 0.2725
N 0.8200 0.3487 0.2275
N 0.8200 0.6513 0.7725

The 10 most intense peaks (2θ = 10–80°), low angle first:
2θ (°), Rel. int., h k l
21.8, 100.0, 1 1 0
26.4, 24.5, 0 0 2
30.2, 27.2, 0 2 0
31.9, 21.4, 2 0 0
34.5, 90.3, 1 1 2
40.5, 25.3, 0 2 2
41.9, 25.0, 2 0 2
44.5, 21.9, 2 2 0
52.5, 21.2, 2 2 2
56.5, 18.9, 1 3 2